# CeCd
Simulated X-ray powder pattern, copper Kα. Input: DFT lattice parameters and positions (GGA-PBE).

Top 10 peaks for 2θ = 10–90°, most intense first:
(hkl)  2θ (°)  d [Å]  intensity
1 0 1  33.2  2.700  100
1 1 0  32.4  2.766  53
2 1 1  58.3  1.584  39
2 0 0  46.4  1.956  19
1 1 2  59.8  1.546  18
2 0 2  69.7  1.350  11
3 1 0  77.1  1.237  8
0 0 2  48.8  1.865  8
3 0 1  77.6  1.231  8
1 0 3  81.2  1.185  7

```
CeCd
1.0
3.9115 0.0000 0.0000
0.0000 3.9115 0.0000
0.0000 0.0000 3.7304
Ce Cd
1 1
Direct
0.0000 0.0000 0.0000
0.5000 0.5000 0.5000
```